This entry pairs a crystal structure of Nd2Th with its computed powder X-ray diffraction pattern. Radiation: a wavelength of 1.5418 Å. Structure: DFT lattice parameters and positions (GGA-PBE).
Kinematic intensities with the Lorentz-polarization factor, no thermal factor.

Crystal structure
```
data_Nd2Th
_chemical_formula_sum 'Nd6 Th3'
_space_group_name_H-M_alt 'R -3 m'
_space_group_IT_number 166
_space_group_name_Hall '-R 3 2"'
_cell_length_a 3.6583
_cell_length_b 3.6583
_cell_length_c 26.5492
_cell_angle_alpha 90.00
_cell_angle_beta 90.00
_cell_angle_gamma 120.00
loop_
_atom_site_label
_atom_site_type_symbol
_atom_site_fract_x
_atom_site_fract_y
_atom_site_fract_z
Nd1 Nd 0.0000 0.0000 0.2262
Th1 Th 0.0000 0.0000 0.0000
```

Largest 10 diffraction maxima, low angle first, 2θ = 15–90°:
d (Å)  I_rel  index
3.146  42.4  1 0 1
2.950  43.2  0 0 9
2.859  100.0  1 0 4
2.721  72.1  0 1 5
2.292  27.6  0 1 8
1.829  33.9  1 1 0
1.717  25.7  1 0 13
1.555  39.1  1 1 9
1.541  15.9  0 2 4
1.148  13.6  1 1 18

***

This entry pairs a crystal structure of Nd13Th3 with its computed powder X-ray diffraction pattern. Radiation: a wavelength of 1.5418 Å. Structure: DFT lattice parameters and positions (GGA-PBE).
Kinematic intensities with the Lorentz-polarization factor, no thermal factor.

Crystal structure
```
data_Nd13Th3
_chemical_formula_sum 'Nd26 Th6'
_space_group_name_H-M_alt 'A m m 2'
_space_group_IT_number 38
_cell_length_a 7.3078
_cell_length_b 12.0263
_cell_length_c 12.6812
_cell_angle_alpha 90.00
_cell_angle_beta 90.00
_cell_angle_gamma 90.00
loop_
_space_group_symop_operation_xyz
'x,y,z'
'-x,-y,z'
'-x,y,z'
'x,-y,z'
'x,y+1/2,z+1/2'
'-x,-y+1/2,z+1/2'
'-x,y+1/2,z+1/2'
'x,-y+1/2,z+1/2'
loop_
_atom_site_label
_atom_site_type_symbol
_atom_site_fract_x
_atom_site_fract_y
_atom_site_fract_z
Nd1 Nd 0.0000 0.0000 0.0000
Nd2 Nd 0.0000 0.0000 0.5144
Nd3 Nd 0.0000 0.2456 0.6770
Nd4 Nd 0.2524 0.0000 0.2559
Nd5 Nd 0.2528 0.2481 0.9231
Nd6 Nd 0.5000 0.0000 0.5172
Nd7 Nd 0.5000 0.2483 0.1715
Th1 Th 0.2568 0.0000 0.7616
Th2 Th 0.5000 0.0000 0.9990
```

Largest 10 diffraction maxima, low angle first, 2θ = 15–90°:
d (Å)  I_rel  index
3.167  23.5  2 0 2
3.007  26.9  0 4 0
2.802  100.0  0 2 4
2.181  16.8  2 4 2
1.829  18.9  4 0 0
1.694  22.6  0 6 4
1.562  22.7  4 4 0
1.531  15.9  4 2 4
1.175  8.6  2 2 10
1.161  8.7  4 8 0

***

This entry pairs a crystal structure of Nd3TmTh2 with its computed powder X-ray diffraction pattern. Radiation: a wavelength of 1.5418 Å. Structure: DFT lattice parameters and positions (GGA-PBE).
Kinematic intensities with the Lorentz-polarization factor, no thermal factor.

Crystal structure
```
data_Nd3TmTh2
_chemical_formula_sum 'Nd6 Tm2 Th4'
_space_group_name_H-M_alt 'P 1 21/m 1'
_space_group_IT_number 11
_cell_length_a 10.1952
_cell_length_b 3.6259
_cell_length_c 10.8137
_cell_angle_alpha 90.00
_cell_angle_beta 90.46
_cell_angle_gamma 90.00
loop_
_space_group_symop_operation_xyz
'x,y,z'
'-x,-y,-z'
'-x,y+1/2,-z'
'x,-y+1/2,z'
loop_
_atom_site_label
_atom_site_type_symbol
_atom_site_fract_x
_atom_site_fract_y
_atom_site_fract_z
Nd1 Nd 0.1226 0.2500 0.2501
Nd2 Nd 0.1397 0.2500 0.9161
Nd3 Nd 0.3680 0.7500 0.4156
Tm1 Tm 0.3747 0.7500 0.7492
Th1 Th 0.1222 0.2500 0.5825
Th2 Th 0.3856 0.7500 0.0821
```

Largest 10 diffraction maxima, low angle first, 2θ = 15–90°:
d (Å)  I_rel  index
2.955  100.0  2 1 0
2.932  32.7  2 0 3
2.556  45.6  0 1 3
2.549  21.7  4 0 0
1.811  24.1  0 2 0
1.801  23.8  0 0 6
1.545  9.8  2 2 -3
1.542  24.0  2 2 3
1.535  9.8  2 1 6
1.477  12.6  4 2 0

***

This entry pairs a crystal structure of Nd8Tm3Th with its computed powder X-ray diffraction pattern. Radiation: a wavelength of 1.5418 Å. Structure: DFT lattice parameters and positions (GGA-PBE).
Kinematic intensities with the Lorentz-polarization factor, no thermal factor.

Crystal structure
```
data_Nd8Tm3Th
_chemical_formula_sum 'Nd16 Tm6 Th2'
_space_group_name_H-M_alt 'C 1 2 1'
_space_group_IT_number 5
_cell_length_a 15.6537
_cell_length_b 8.8389
_cell_length_c 6.4481
_cell_angle_alpha 90.00
_cell_angle_beta 114.30
_cell_angle_gamma 90.00
loop_
_space_group_symop_operation_xyz
'x,y,z'
'-x,y,-z'
'x+1/2,y+1/2,z'
'-x+1/2,y+1/2,-z'
loop_
_atom_site_label
_atom_site_type_symbol
_atom_site_fract_x
_atom_site_fract_y
_atom_site_fract_z
Nd1 Nd 0.0691 0.0000 0.3203
Nd2 Nd 0.1261 0.3640 0.6365
Nd3 Nd 0.1719 0.0078 0.9335
Nd4 Nd 0.2493 0.7594 0.6565
Tm1 Tm 0.0000 0.6880 0.5000
Tm2 Tm 0.1235 0.6445 0.1009
Th1 Th 0.0000 0.3089 0.0000
```

Largest 10 diffraction maxima, low angle first, 2θ = 15–90°:
d (Å)  I_rel  index
3.532  12.1  2 2 -1
2.963  52.3  3 1 -2
2.943  100.0  5 1 -1
2.889  85.8  1 3 0
2.680  13.0  1 3 -1
2.606  38.7  2 2 -2
2.247  18.0  4 2 1
1.802  14.2  1 1 3
1.600  11.5  8 2 -3
1.561  20.1  6 0 2

***

This entry pairs a crystal structure of Nd12TmTh7 with its computed powder X-ray diffraction pattern. Radiation: a wavelength of 1.5418 Å. Structure: DFT lattice parameters and positions (GGA-PBE).
Kinematic intensities with the Lorentz-polarization factor, no thermal factor.

Crystal structure
```
data_Nd12TmTh7
_chemical_formula_sum 'Nd24 Tm2 Th14'
_space_group_name_H-M_alt 'I m -3'
_space_group_IT_number 204
_space_group_name_Hall '-I 2 2 3'
_cell_length_a 11.6448
_cell_length_b 11.6448
_cell_length_c 11.6448
_cell_angle_alpha 90.00
_cell_angle_beta 90.00
_cell_angle_gamma 90.00
loop_
_atom_site_label
_atom_site_type_symbol
_atom_site_fract_x
_atom_site_fract_y
_atom_site_fract_z
Nd1 Nd 0.0000 0.2238 0.3036
Tm1 Tm 0.0000 0.0000 0.0000
Th1 Th 0.0000 0.0000 0.5000
Th2 Th 0.2500 0.2500 0.2500
```

Largest 10 diffraction maxima, low angle first, 2θ = 15–90°:
d (Å)  I_rel  index
4.117  74.9  2 2 0
3.682  25.5  3 1 0
3.362  35.3  2 2 2
3.112  24.5  3 1 2
2.911  100.0  4 0 0
2.377  77.6  4 2 2
2.059  52.9  4 4 0
1.556  41.0  6 2 4
1.372  37.9  8 2 2
1.142  31.6  8 6 2

***

This entry pairs a crystal structure of Nd8Tm3Th2 with its computed powder X-ray diffraction pattern. Radiation: a wavelength of 1.5418 Å. Structure: DFT lattice parameters and positions (GGA-PBE).
Kinematic intensities with the Lorentz-polarization factor, no thermal factor.

Crystal structure
```
data_Nd8Tm3Th2
_chemical_formula_sum 'Nd16 Tm6 Th4'
_space_group_name_H-M_alt 'P -1'
_space_group_IT_number 2
_cell_length_a 6.2965
_cell_length_b 9.5691
_cell_length_c 15.7319
_cell_angle_alpha 97.37
_cell_angle_beta 97.60
_cell_angle_gamma 109.05
loop_
_space_group_symop_operation_xyz
'x,y,z'
'-x,-y,-z'
loop_
_atom_site_label
_atom_site_type_symbol
_atom_site_fract_x
_atom_site_fract_y
_atom_site_fract_z
Nd1 Nd 0.0755 0.0814 0.1181
Nd2 Nd 0.1474 0.1521 0.7289
Nd3 Nd 0.1910 0.6924 0.5399
Nd4 Nd 0.2645 0.7603 0.1496
Nd5 Nd 0.3127 0.3156 0.9647
Nd6 Nd 0.3449 0.8417 0.7692
Nd7 Nd 0.3905 0.3869 0.5772
Nd8 Nd 0.4192 0.9258 0.3834
Tm1 Tm 0.0000 0.0000 0.5000
Tm2 Tm 0.0384 0.5313 0.3042
Tm3 Tm 0.4586 0.4584 0.1937
Tm4 Tm 0.5000 0.0000 0.0000
Th1 Th 0.1109 0.6147 0.9228
Th2 Th 0.2276 0.2309 0.3471
```

Largest 10 diffraction maxima, low angle first, 2θ = 15–90°:
d (Å)  I_rel  index
2.962  100.0  2 -2 0
2.951  99.0  1 0 -5
2.569  34.1  2 1 -2
2.557  66.9  1 -2 5
1.815  24.3  3 -1 3
1.807  35.9  1 3 -7
1.550  14.6  -4 1 2
1.544  42.9  3 1 -7
1.542  14.1  -1 6 1
1.539  14.3  1 -5 7

***

This entry pairs a crystal structure of Nd2Tm5Th2 with its computed powder X-ray diffraction pattern. Radiation: a wavelength of 1.5418 Å. Structure: DFT lattice parameters and positions (GGA-PBE).
Kinematic intensities with the Lorentz-polarization factor, no thermal factor.

Crystal structure
```
data_Nd2Tm5Th2
_chemical_formula_sum 'Nd8 Tm20 Th8'
_space_group_name_H-M_alt 'I m a 2'
_space_group_IT_number 46
_cell_length_a 14.8665
_cell_length_b 11.8430
_cell_length_c 6.6341
_cell_angle_alpha 90.00
_cell_angle_beta 90.00
_cell_angle_gamma 90.00
loop_
_space_group_symop_operation_xyz
'x,y,z'
'-x,-y,z'
'-x+1/2,y,z'
'x+1/2,-y,z'
'x+1/2,y+1/2,z+1/2'
'-x+1/2,-y+1/2,z+1/2'
'-x,y+1/2,z+1/2'
'x,-y+1/2,z+1/2'
loop_
_atom_site_label
_atom_site_type_symbol
_atom_site_fract_x
_atom_site_fract_y
_atom_site_fract_z
Nd1 Nd 0.1264 0.0003 0.0000
Tm1 Tm 0.0536 0.2425 0.6569
Tm2 Tm 0.1424 0.7286 0.8528
Tm3 Tm 0.2500 0.2383 0.8525
Th1 Th 0.0000 0.0000 0.4592
Th2 Th 0.2500 0.5036 0.0424
```

Largest 10 diffraction maxima, low angle first, 2θ = 15–90°:
d (Å)  I_rel  index
3.127  100.0  4 1 1
2.961  96.7  0 4 0
2.894  72.6  0 2 2
2.884  52.8  5 1 0
2.697  62.8  2 2 2
2.685  41.7  3 1 2
2.506  75.5  4 3 1
2.375  30.7  5 3 0
2.260  23.5  3 3 2
1.421  24.8  8 4 2

***

This entry pairs a crystal structure of Nd3Tm4Th with its computed powder X-ray diffraction pattern. Radiation: a wavelength of 1.5418 Å. Structure: DFT lattice parameters and positions (GGA-PBE).
Kinematic intensities with the Lorentz-polarization factor, no thermal factor.

Crystal structure
```
data_Nd3Tm4Th
_chemical_formula_sum 'Nd3 Tm4 Th1'
_space_group_name_H-M_alt 'P 1 2/m 1'
_space_group_IT_number 10
_cell_length_a 6.2073
_cell_length_b 3.5831
_cell_length_c 11.7019
_cell_angle_alpha 90.00
_cell_angle_beta 100.23
_cell_angle_gamma 90.00
loop_
_space_group_symop_operation_xyz
'x,y,z'
'-x,-y,-z'
'-x,y,-z'
'x,-y,z'
loop_
_atom_site_label
_atom_site_type_symbol
_atom_site_fract_x
_atom_site_fract_y
_atom_site_fract_z
Nd1 Nd 0.0000 0.0000 0.0000
Nd2 Nd 0.0000 0.5000 0.5000
Nd3 Nd 0.5000 0.0000 0.5000
Tm1 Tm 0.2543 0.5000 0.2485
Tm2 Tm 0.2562 0.0000 0.7546
Th1 Th 0.5000 0.5000 0.0000
```

Largest 10 diffraction maxima, low angle first, 2θ = 15–90°:
d (Å)  I_rel  index
2.921  100.0  1 1 1
2.879  32.0  0 0 4
2.520  66.9  1 1 -3
1.792  24.3  0 2 0
1.772  23.6  2 0 -6
1.527  14.5  2 2 -2
1.521  28.5  0 2 4
1.509  13.8  1 1 -7
1.460  12.4  2 2 2
1.162  12.0  1 3 1